# 1
This entry pairs a crystal structure of BC5 with its calculated X-ray powder pattern. Radiation: Cu Kα, 1.54184 Å. Structure: the PBE geometry in the Materials Project.

Structural model:
Lattice parameters (Å, degrees): 5.9759 5.9759 5.9759 155.69 155.69 34.64
Atoms (fractional coordinates):
B1 0.0000 0.0000 0.0000
C1 0.0937 0.5937 0.5000
C2 0.3301 0.3301 0.0000
C3 0.4063 0.9063 0.5000
C4 0.6699 0.6699 0.0000
C5 0.7500 0.2500 0.5000

Largest 9 diffraction maxima, in order of falling intensity, 15 to 90 degrees two-theta:
two_theta  d/Å  I/Imax
43.1  2.098  100.0
72.8  1.299  26.1
75.6  1.258  12.3
15.5  5.705  9.8
85.8  1.132  7.9
31.4  2.852  1.3
54.3  1.690  1.2
87.7  1.113  0.9
36.6  2.457  0.6



# 2
This entry pairs a crystal structure of SrSn2Cl6O5 with its calculated X-ray powder pattern. Radiation: Cu Kα, 1.54184 Å. Structure: the PBE geometry in the Materials Project.

Structural model:
Lattice parameters (Å, degrees): 9.5963 9.5963 10.5272 114.54 114.54 82.13
Atoms (fractional coordinates):
Sr1 0.2100 0.7900 0.7500
Sr2 0.7900 0.2100 0.2500
Sn1 0.2035 0.4440 0.8931
Sn2 0.4440 0.2035 0.3931
Sn3 0.5560 0.7965 0.6069
Sn4 0.7965 0.5560 0.1069
Cl1 0.0416 0.2315 0.6798
Cl2 0.1764 0.4775 0.1158
Cl3 0.2315 0.0416 0.1798
Cl4 0.3141 0.4346 0.4410
Cl5 0.4346 0.3141 0.9410
Cl6 0.4775 0.1764 0.6158
Cl7 0.5225 0.8236 0.3842
Cl8 0.5654 0.6859 0.0590
Cl9 0.6859 0.5654 0.5590
Cl10 0.7685 0.9584 0.8202
Cl11 0.8236 0.5225 0.8842
Cl12 0.9584 0.7685 0.3202
O1 0.0027 0.9973 0.2500
O2 0.0156 0.4403 0.5116
O3 0.1872 0.6107 0.8359
O4 0.3893 0.8128 0.6641
O5 0.4403 0.0156 0.0116
O6 0.5597 0.9844 0.9884
O7 0.6107 0.1872 0.3359
O8 0.8128 0.3893 0.1641
O9 0.9844 0.5597 0.4884
O10 0.9973 0.0027 0.7500

Largest 10 diffraction maxima, in order of falling intensity, 15 to 90 degrees two-theta:
two_theta  d/Å  I/Imax
18.8  4.726  100.0
18.7  4.757  61.7
16.9  5.235  57.8
23.2  3.835  43.6
31.1  2.878  35.4
39.2  2.299  28.7
33.4  2.686  28.1
22.9  3.891  26.7
17.3  5.128  24.9
37.9  2.375  22.8



# 3
This entry pairs a crystal structure of MgZn2 with its calculated X-ray powder pattern. Radiation: Cu Kα, 1.54184 Å. Structure: the PBE geometry in the Materials Project.

Structural model:
Lattice parameters (Å, degrees): 2.9868 2.9868 13.5265 90.00 90.00 120.00
Atoms (fractional coordinates):
Mg1 0.3333 0.6667 0.2500
Mg2 0.6667 0.3333 0.7500
Zn1 0.3333 0.6667 0.5770
Zn2 0.3333 0.6667 0.9230
Zn3 0.6667 0.3333 0.0770
Zn4 0.6667 0.3333 0.4230

Largest 10 diffraction maxima, in order of falling intensity, 15 to 90 degrees two-theta:
two_theta  d/Å  I/Imax
40.2  2.244  100.0
34.7  2.587  25.6
40.0  2.254  21.7
62.2  1.493  17.4
76.5  1.245  17.3
72.8  1.299  14.2
76.7  1.243  13.4
54.0  1.700  13.1
48.7  1.870  9.5
35.3  2.541  8.5



# 4
This entry pairs a crystal structure of ReRhBr6N5Cl with its calculated X-ray powder pattern. Radiation: Cu Kα, 1.54184 Å. Structure: the PBE geometry in the Materials Project.

Structural model:
Lattice parameters (Å, degrees): 8.2940 11.5460 16.0317 75.93 89.43 88.99
Atoms (fractional coordinates):
Re1 0.2463 0.2975 0.1369
Re2 0.2479 0.2833 0.6400
Re3 0.7521 0.7167 0.3600
Re4 0.7537 0.7025 0.8631
Rh1 0.2425 0.7788 0.1180
Rh2 0.2666 0.7802 0.6424
Rh3 0.7334 0.2198 0.3576
Rh4 0.7575 0.2212 0.8820
Br1 0.0303 0.1574 0.1404
Br2 0.0444 0.4622 0.1270
Br3 0.0456 0.6960 0.3567
Br4 0.2338 0.1041 0.7588
Br5 0.2337 0.1642 0.5355
Br6 0.2373 0.2625 0.2952
Br7 0.2559 0.3393 0.9806
Br8 0.2608 0.4085 0.7465
Br9 0.2615 0.4693 0.5247
Br10 0.4505 0.1416 0.1473
Br11 0.4582 0.4474 0.1338
Br12 0.4590 0.7317 0.3578
Br13 0.5410 0.2683 0.6422
Br14 0.5418 0.5526 0.8662
Br15 0.5495 0.8584 0.8527
Br16 0.7385 0.5307 0.4753
Br17 0.7392 0.5915 0.2535
Br18 0.7441 0.6607 0.0194
Br19 0.7627 0.7375 0.7048
Br20 0.7663 0.8358 0.4645
Br21 0.7662 0.8959 0.2412
Br22 0.9544 0.3040 0.6433
Br23 0.9556 0.5378 0.8730
Br24 0.9697 0.8426 0.8596
N1 0.0168 0.8145 0.0754
N2 0.0953 0.7039 0.5873
N3 0.1071 0.9122 0.6350
N4 0.2048 0.9103 0.1786
N5 0.2353 0.6495 0.1957
N6 0.2721 0.7032 0.7470
N7 0.2853 0.7377 0.0068
N8 0.4218 0.6989 0.5781
N9 0.4332 0.9052 0.6267
N10 0.4733 0.8272 0.1124
N11 0.5267 0.1728 0.8876
N12 0.5668 0.0948 0.3733
N13 0.5782 0.3011 0.4219
N14 0.7147 0.2623 0.9932
N15 0.7279 0.2968 0.2530
N16 0.7647 0.3505 0.8043
N17 0.7952 0.0897 0.8214
N18 0.8929 0.0878 0.3650
N19 0.9047 0.2961 0.4127
N20 0.9832 0.1855 0.9246
Cl1 0.2507 0.8978 0.4762
Cl2 0.2561 0.9822 0.9993
Cl3 0.7439 0.0178 0.0007
Cl4 0.7493 0.1022 0.5238

Largest 10 diffraction maxima, in order of falling intensity, 15 to 90 degrees two-theta:
two_theta  d/Å  I/Imax
15.6  5.672  100.0
15.8  5.599  42.9
21.4  4.146  29.3
31.4  2.846  26.3
32.0  2.796  20.1
32.8  2.730  19.4
43.7  2.073  17.1
15.4  5.763  17.0
22.9  3.888  16.5
32.7  2.739  15.8



# 5
This entry pairs a crystal structure of SrCdSn with its calculated X-ray powder pattern. Radiation: Cu Kα, 1.54184 Å. Structure: the PBE geometry in the Materials Project.

Structural model:
Lattice parameters (Å, degrees): 6.3855 6.3855 8.1369 127.77 127.77 47.19
Atoms (fractional coordinates):
Sr1 0.0434 0.0434 0.2956
Sr2 0.9566 0.9566 0.7044
Cd1 0.3395 0.3395 0.8991
Cd2 0.6605 0.6605 0.1009
Sn1 0.3375 0.3375 0.2855
Sn2 0.6625 0.6625 0.7145

Largest 10 diffraction maxima, in order of falling intensity, 15 to 90 degrees two-theta:
two_theta  d/Å  I/Imax
35.6  2.523  100.0
35.1  2.558  87.2
29.6  3.019  83.5
30.2  2.962  55.9
28.8  3.099  31.4
29.4  3.040  23.8
34.3  2.615  23.3
30.6  2.919  22.4
58.2  1.585  20.1
63.3  1.469  18.5



# 6
This entry pairs a crystal structure of LaIn5Ir with its calculated X-ray powder pattern. Radiation: Cu Kα, 1.54184 Å. Structure: the PBE geometry in the Materials Project.

Structural model:
Lattice parameters (Å, degrees): 4.7450 4.7450 7.6815 90.00 90.00 90.00
Atoms (fractional coordinates):
La1 0.0000 0.0000 0.0000
In1 0.0000 0.5000 0.3062
In2 0.0000 0.5000 0.6938
In3 0.5000 0.0000 0.3062
In4 0.5000 0.0000 0.6938
In5 0.5000 0.5000 0.0000
Ir1 0.0000 0.0000 0.5000

Largest 10 diffraction maxima, in order of falling intensity, 15 to 90 degrees two-theta:
two_theta  d/Å  I/Imax
35.5  2.527  100.0
37.9  2.372  54.3
67.0  1.397  36.9
54.7  1.678  18.4
18.7  4.745  16.7
22.0  4.037  14.9
29.0  3.075  13.9
52.6  1.740  10.9
29.9  2.985  10.6
44.5  2.035  9.8



# 7
This entry pairs a crystal structure of ThTlCuSe3 with its calculated X-ray powder pattern. Radiation: Cu Kα, 1.54184 Å. Structure: the PBE geometry in the Materials Project.

Structural model:
Lattice parameters (Å, degrees): 7.5488 7.5488 10.9776 90.00 90.00 147.58
Atoms (fractional coordinates):
Th1 0.0000 0.0000 0.0000
Th2 0.0000 0.0000 0.5000
Tl1 0.2515 0.7485 0.7500
Tl2 0.7485 0.2515 0.2500
Cu1 0.4654 0.5346 0.2500
Cu2 0.5346 0.4654 0.7500
Se1 0.0665 0.9335 0.2500
Se2 0.3695 0.6305 0.0652
Se3 0.3695 0.6305 0.4348
Se4 0.6305 0.3695 0.5652
Se5 0.6305 0.3695 0.9348
Se6 0.9335 0.0665 0.7500

Largest 10 diffraction maxima, in order of falling intensity, 15 to 90 degrees two-theta:
two_theta  d/Å  I/Imax
32.6  2.747  100.0
29.3  3.051  89.7
20.3  4.376  73.7
41.2  2.189  68.5
28.1  3.176  40.3
33.0  2.714  35.1
40.8  2.211  34.7
42.9  2.108  33.2
27.3  3.262  31.4
50.5  1.806  25.4



# 8
This entry pairs a crystal structure of PrSnRu with its calculated X-ray powder pattern. Radiation: Cu Kα, 1.54184 Å. Structure: the PBE geometry in the Materials Project.

Structural model:
Lattice parameters (Å, degrees): 7.6957 4.8943 7.4021 90.00 90.00 90.00
Atoms (fractional coordinates):
Pr1 0.0318 0.2500 0.1908
Pr2 0.4682 0.7500 0.6908
Pr3 0.5318 0.2500 0.3092
Pr4 0.9682 0.7500 0.8092
Sn1 0.1955 0.2500 0.6127
Sn2 0.3045 0.7500 0.1127
Sn3 0.6955 0.2500 0.8873
Sn4 0.8045 0.7500 0.3873
Ru1 0.1511 0.7500 0.4430
Ru2 0.3489 0.2500 0.9430
Ru3 0.6511 0.7500 0.0570
Ru4 0.8489 0.2500 0.5570

Largest 10 diffraction maxima, in order of falling intensity, 15 to 90 degrees two-theta:
two_theta  d/Å  I/Imax
32.0  2.800  100.0
32.5  2.756  76.6
36.7  2.447  61.2
41.0  2.203  44.3
37.1  2.424  40.6
53.2  1.722  28.8
33.6  2.667  21.3
65.0  1.435  20.5
38.4  2.342  16.8
63.2  1.472  14.3



# 9
This entry pairs a crystal structure of Mg5Si9 with its calculated X-ray powder pattern. Radiation: Cu Kα, 1.54184 Å. Structure: the PBE geometry in the Materials Project.

Structural model:
Lattice parameters (Å, degrees): 6.9518 7.0860 12.6024 76.54 82.95 62.96
Atoms (fractional coordinates):
Mg1 0.0000 0.0000 0.0000
Mg2 0.0018 0.3771 0.3527
Mg3 0.1340 0.4916 0.0884
Mg4 0.1895 0.0876 0.7619
Mg5 0.2188 0.5033 0.5185
Mg6 0.4013 0.9497 0.5397
Mg7 0.4296 0.1330 0.9824
Mg8 0.6171 0.7071 0.1485
Mg9 0.7606 0.7007 0.7264
Mg10 0.8510 0.1914 0.2059
Si1 0.0257 0.3901 0.8968
Si2 0.1142 0.8225 0.6610
Si3 0.2482 0.7948 0.3255
Si4 0.2916 0.4577 0.7679
Si5 0.3099 0.0800 0.2073
Si6 0.4441 0.1761 0.3412
Si7 0.4535 0.7554 0.9254
Si8 0.5160 0.1750 0.6657
Si9 0.5537 0.4474 0.3372
Si10 0.5600 0.4071 0.0417
Si11 0.6366 0.4013 0.8466
Si12 0.6932 0.3083 0.5149
Si13 0.7748 0.8561 0.3904
Si14 0.8007 0.5652 0.5414
Si15 0.8100 0.7522 0.9365
Si16 0.8242 0.0287 0.7843
Si17 0.9861 0.9746 0.4735
Si18 0.9908 0.7676 0.2252

Largest 10 diffraction maxima, in order of falling intensity, 15 to 90 degrees two-theta:
two_theta  d/Å  I/Imax
36.9  2.433  100.0
39.8  2.265  79.3
40.8  2.210  78.2
36.7  2.446  77.6
29.8  2.995  75.6
31.7  2.824  67.5
32.7  2.741  66.8
36.6  2.454  65.1
37.8  2.379  64.8
48.8  1.868  61.9